Record 1
Simulated powder diffractogram
Compound: NpPd6
Radiation: copper Kα
Structure: a structure optimized by DFT (PBE)
Peak positions follow from Bragg's law for the DFT cell and can differ from measured ones.

Atomic structure:
```
data_NpPd6
_chemical_formula_sum 'Np2 Pd12'
_space_group_name_H-M_alt 'I 4/m m m'
_space_group_IT_number 139
_space_group_name_Hall '-I 4 2'
_cell_length_a 6.7019
_cell_length_b 6.7019
_cell_length_c 5.4034
_cell_angle_alpha 90.00
_cell_angle_beta 90.00
_cell_angle_gamma 90.00
loop_
_atom_site_label
_atom_site_type_symbol
_atom_site_fract_x
_atom_site_fract_y
_atom_site_fract_z
Np1 Np 0.0000 0.0000 0.0000
Pd1 Pd 0.0000 0.5000 0.2500
Pd2 Pd 0.2059 0.2059 0.5000
```

Most intense lines, 15 to 90 degrees two-theta, low angle first:
- 2θ = 33.16°, I = 24.8, (0 0 2)
- 2θ = 34.21°, I = 100.0, (2 1 1)
- 2θ = 37.97°, I = 99.0, (2 2 0)
- 2θ = 38.35°, I = 76.8, (1 1 2)
- 2θ = 43.00°, I = 29.5, (2 0 2)
- 2θ = 43.85°, I = 69.3, (3 0 1)
- 2θ = 54.79°, I = 24.3, (4 0 0)
- 2θ = 55.07°, I = 30.7, (3 1 2)
- 2θ = 68.85°, I = 27.6, (3 3 2)
- 2θ = 78.94°, I = 28.5, (5 2 1)

Record 2
Simulated powder diffractogram
Compound: Np6Pd23
Radiation: copper Kα
Structure: a structure optimized by DFT (PBE)
Peak positions follow from Bragg's law for the DFT cell and can differ from measured ones.

Atomic structure:
```
data_Np6Pd23
_chemical_formula_sum 'Np24 Pd92'
_space_group_name_H-M_alt 'F m -3 m'
_space_group_IT_number 225
_space_group_name_Hall '-F 4 2 3'
_cell_length_a 12.8472
_cell_length_b 12.8472
_cell_length_c 12.8472
_cell_angle_alpha 90.00
_cell_angle_beta 90.00
_cell_angle_gamma 90.00
loop_
_atom_site_label
_atom_site_type_symbol
_atom_site_fract_x
_atom_site_fract_y
_atom_site_fract_z
Np1 Np 0.0000 0.0000 0.2205
Pd1 Pd 0.0000 0.0000 0.5000
Pd2 Pd 0.0000 0.2500 0.2500
Pd3 Pd 0.1208 0.1208 0.3792
Pd4 Pd 0.1645 0.1645 0.1645
```

Most intense lines, 15 to 90 degrees two-theta, low angle first:
- 2θ = 24.00°, I = 10.0, (2 2 2)
- 2θ = 34.19°, I = 18.0, (4 2 2)
- 2θ = 36.34°, I = 42.6, (3 3 3)
- 2θ = 39.69°, I = 100.0, (4 4 0)
- 2θ = 54.89°, I = 12.4, (7 3 1)
- 2θ = 57.38°, I = 9.2, (8 0 0)
- 2θ = 61.22°, I = 8.5, (8 2 2)
- 2θ = 72.02°, I = 18.4, (8 4 4)
- 2θ = 73.32°, I = 9.4, (9 3 3)
- 2θ = 76.74°, I = 13.3, (7 7 3)

Record 3
Simulated powder diffractogram
Compound: Np2Pd17
Radiation: copper Kα
Structure: a structure optimized by DFT (PBE)
Peak positions follow from Bragg's law for the DFT cell and can differ from measured ones.

Atomic structure:
```
data_Np2Pd17
_chemical_formula_sum 'Np6 Pd51'
_space_group_name_H-M_alt 'R -3 m'
_space_group_IT_number 166
_space_group_name_Hall '-R 3 2"'
_cell_length_a 9.1192
_cell_length_b 9.1192
_cell_length_c 13.6134
_cell_angle_alpha 90.00
_cell_angle_beta 90.00
_cell_angle_gamma 120.00
loop_
_atom_site_label
_atom_site_type_symbol
_atom_site_fract_x
_atom_site_fract_y
_atom_site_fract_z
Np1 Np 0.0000 0.0000 0.1753
Pd1 Pd 0.0000 0.0000 0.3988
Pd2 Pd 0.0000 0.3080 0.5000
Pd3 Pd 0.0000 0.5000 0.0000
Pd4 Pd 0.0063 0.5032 0.6535
```

Most intense lines, 15 to 90 degrees two-theta, low angle first:
- 2θ = 27.74°, I = 14.4, (1 1 3)
- 2θ = 34.06°, I = 26.2, (3 0 0)
- 2θ = 34.82°, I = 14.1, (0 2 4)
- 2θ = 39.56°, I = 100.0, (2 2 0)
- 2θ = 39.73°, I = 20.7, (0 0 6)
- 2θ = 40.22°, I = 19.0, (2 0 5)
- 2θ = 44.47°, I = 20.1, (2 2 3)
- 2θ = 64.68°, I = 13.0, (3 3 3)
- 2θ = 71.70°, I = 14.5, (6 0 0)
- 2θ = 72.00°, I = 13.8, (0 3 9)

Record 4
Simulated powder diffractogram
Compound: NpPd7
Radiation: copper Kα
Structure: a structure optimized by DFT (PBE)
Peak positions follow from Bragg's law for the DFT cell and can differ from measured ones.

Atomic structure:
```
data_NpPd7
_chemical_formula_sum 'Np2 Pd14'
_space_group_name_H-M_alt 'I 4/m m m'
_space_group_IT_number 139
_space_group_name_Hall '-I 4 2'
_cell_length_a 4.0883
_cell_length_b 4.0883
_cell_length_c 15.8042
_cell_angle_alpha 90.00
_cell_angle_beta 90.00
_cell_angle_gamma 90.00
loop_
_atom_site_label
_atom_site_type_symbol
_atom_site_fract_x
_atom_site_fract_y
_atom_site_fract_z
Np1 Np 0.0000 0.0000 0.0000
Pd1 Pd 0.0000 0.0000 0.2506
Pd2 Pd 0.0000 0.0000 0.5000
Pd3 Pd 0.0000 0.5000 0.1263
```

Most intense lines, 15 to 90 degrees two-theta, low angle first:
- 2θ = 22.47°, I = 7.2, (0 0 4)
- 2θ = 27.62°, I = 3.7, (1 0 3)
- 2θ = 38.59°, I = 100.0, (1 1 4)
- 2θ = 44.31°, I = 33.7, (2 0 0)
- 2θ = 45.93°, I = 17.1, (0 0 8)
- 2θ = 64.46°, I = 10.9, (2 2 0)
- 2θ = 65.73°, I = 21.7, (2 0 8)
- 2θ = 77.72°, I = 25.4, (3 1 4)
- 2θ = 80.07°, I = 11.7, (1 1 12)
- 2θ = 82.73°, I = 11.1, (2 2 8)

Record 5
Simulated powder diffractogram
Compound: NpPd4Pt6
Radiation: copper Kα
Structure: a structure optimized by DFT (PBE)
Peak positions follow from Bragg's law for the DFT cell and can differ from measured ones.

Atomic structure:
```
data_NpPd4Pt6
_chemical_formula_sum 'Np2 Pd8 Pt12'
_space_group_name_H-M_alt 'P 1 21/m 1'
_space_group_IT_number 11
_space_group_name_Hall '-P 2yb'
_cell_length_a 4.7303
_cell_length_b 19.0642
_cell_length_c 4.8287
_cell_angle_alpha 90.00
_cell_angle_beta 119.32
_cell_angle_gamma 90.00
loop_
_atom_site_label
_atom_site_type_symbol
_atom_site_fract_x
_atom_site_fract_y
_atom_site_fract_z
Np1 Np 0.0143 0.2500 0.0300
Pd1 Pd 0.1722 0.6252 0.3465
Pd2 Pd 0.3381 0.0009 0.6762
Pt1 Pt 0.0000 0.0000 0.0000
Pt2 Pt 0.1657 0.1243 0.3291
Pt3 Pt 0.3209 0.7500 0.6407
Pt4 Pt 0.4934 0.1317 0.9849
```

Most intense lines, 15 to 90 degrees two-theta, low angle first:
- 2θ = 21.60°, I = 8.0, (0 1 1)
- 2θ = 25.75°, I = 7.9, (1 3 0)
- 2θ = 28.62°, I = 8.0, (1 4 0)
- 2θ = 37.75°, I = 33.7, (0 8 0)
- 2θ = 38.05°, I = 33.8, (2 0 -1)
- 2θ = 41.96°, I = 100.0, (1 4 1)
- 2θ = 54.68°, I = 23.3, (2 8 -1)
- 2θ = 71.03°, I = 20.3, (1 12 1)
- 2θ = 71.42°, I = 21.1, (3 4 0)
- 2θ = 79.40°, I = 7.4, (2 0 2)

Record 6
Simulated powder diffractogram
Compound: NpPdPt6
Radiation: copper Kα
Structure: a structure optimized by DFT (PBE)
Peak positions follow from Bragg's law for the DFT cell and can differ from measured ones.

Atomic structure:
```
data_NpPdPt6
_chemical_formula_sum 'Np1 Pd1 Pt6'
_space_group_name_H-M_alt 'P 4/m m m'
_space_group_IT_number 123
_space_group_name_Hall '-P 4 2'
_cell_length_a 5.7222
_cell_length_b 5.7222
_cell_length_c 4.0667
_cell_angle_alpha 90.00
_cell_angle_beta 90.00
_cell_angle_gamma 90.00
loop_
_atom_site_label
_atom_site_type_symbol
_atom_site_fract_x
_atom_site_fract_y
_atom_site_fract_z
Np1 Np 0.0000 0.0000 0.0000
Pd1 Pd 0.5000 0.5000 0.0000
Pt1 Pt 0.0000 0.5000 0.0000
Pt2 Pt 0.2516 0.2516 0.5000
```

Most intense lines, 15 to 90 degrees two-theta, low angle first:
- 2θ = 15.49°, I = 2.5, (1 0 0)
- 2θ = 26.90°, I = 1.9, (1 0 1)
- 2θ = 38.47°, I = 100.0, (2 0 1)
- 2θ = 44.56°, I = 16.6, (0 0 2)
- 2θ = 44.80°, I = 32.7, (2 2 0)
- 2θ = 65.03°, I = 21.9, (2 2 2)
- 2θ = 65.22°, I = 10.8, (4 0 0)
- 2θ = 78.00°, I = 13.1, (2 0 3)
- 2θ = 78.34°, I = 26.0, (4 2 1)
- 2θ = 82.43°, I = 11.5, (4 0 2)

Record 7
Simulated powder diffractogram
Compound: NpPd3Pt3
Radiation: copper Kα
Structure: a structure optimized by DFT (PBE)
Peak positions follow from Bragg's law for the DFT cell and can differ from measured ones.

Atomic structure:
```
data_NpPd3Pt3
_chemical_formula_sum 'Np4 Pd12 Pt12'
_space_group_name_H-M_alt 'P 21 3'
_space_group_IT_number 198
_space_group_name_Hall 'P 2ac 2ab 3'
_cell_length_a 7.9199
_cell_length_b 7.9199
_cell_length_c 7.9199
_cell_angle_alpha 90.00
_cell_angle_beta 90.00
_cell_angle_gamma 90.00
loop_
_atom_site_label
_atom_site_type_symbol
_atom_site_fract_x
_atom_site_fract_y
_atom_site_fract_z
Np1 Np 0.0900 0.4100 0.5900
Pd1 Pd 0.0765 0.5765 0.9235
Pd2 Pd 0.1033 0.1033 0.1033
Pd3 Pd 0.2086 0.7914 0.2914
Pt1 Pt 0.0805 0.7741 0.6309
```

Most intense lines, 15 to 90 degrees two-theta, low angle first:
- 2θ = 25.14°, I = 22.2, (2 0 1)
- 2θ = 27.59°, I = 15.3, (2 1 1)
- 2θ = 35.85°, I = 83.6, (3 1 0)
- 2θ = 37.67°, I = 22.9, (3 1 1)
- 2θ = 41.09°, I = 88.9, (3 0 2)
- 2θ = 42.72°, I = 100.0, (3 2 1)
- 2θ = 47.32°, I = 18.1, (3 2 2)
- 2θ = 59.52°, I = 15.4, (5 0 1)
- 2θ = 73.75°, I = 37.9, (5 3 2)
- 2θ = 77.11°, I = 15.5, (4 4 3)

Record 8
Simulated powder diffractogram
Compound: Rb3Np3PdSe8
Radiation: copper Kα
Structure: a structure optimized by DFT (PBE)
Peak positions follow from Bragg's law for the DFT cell and can differ from measured ones.

Atomic structure:
```
data_Rb3Np3PdSe8
_chemical_formula_sum 'Rb6 Np6 Pd2 Se16'
_space_group_name_H-M_alt 'C 1 2/m 1'
_space_group_IT_number 12
_space_group_name_Hall '-C 2y'
_cell_length_a 14.1542
_cell_length_b 8.2822
_cell_length_c 9.4121
_cell_angle_alpha 90.00
_cell_angle_beta 119.80
_cell_angle_gamma 90.00
loop_
_atom_site_label
_atom_site_type_symbol
_atom_site_fract_x
_atom_site_fract_y
_atom_site_fract_z
Rb1 Rb 0.0000 0.0000 0.0000
Rb2 Rb 0.2500 0.2500 0.0000
Np1 Np 0.0000 0.5000 0.5000
Np2 Np 0.2500 0.2500 0.5000
Pd1 Pd 0.0000 0.0000 0.5000
Se1 Se 0.0208 0.2519 0.3097
Se2 Se 0.2150 0.0000 0.6783
Se3 Se 0.2330 0.5000 0.6985
```

Most intense lines, 15 to 90 degrees two-theta, low angle first:
- 2θ = 21.75°, I = 16.4, (0 0 2)
- 2θ = 28.95°, I = 100.0, (2 2 -2)
- 2θ = 29.08°, I = 46.7, (4 0 0)
- 2θ = 35.97°, I = 33.8, (4 0 1)
- 2θ = 38.67°, I = 32.6, (2 2 2)
- 2θ = 38.99°, I = 17.9, (4 0 -4)
- 2θ = 43.72°, I = 17.6, (0 4 0)
- 2θ = 44.19°, I = 33.8, (6 2 -2)
- 2θ = 44.90°, I = 13.7, (4 0 2)
- 2θ = 53.37°, I = 17.2, (4 4 0)

Record 9
Simulated powder diffractogram
Compound: NpTlPdS4
Radiation: copper Kα
Structure: a structure optimized by DFT (PBE)
Peak positions follow from Bragg's law for the DFT cell and can differ from measured ones.

Atomic structure:
```
data_NpTlPdS4
_chemical_formula_sum 'Np2 Tl2 Pd2 S8'
_space_group_name_H-M_alt 'P 1 21/m 1'
_space_group_IT_number 11
_space_group_name_Hall '-P 2yb'
_cell_length_a 6.8886
_cell_length_b 5.3043
_cell_length_c 9.3002
_cell_angle_alpha 90.00
_cell_angle_beta 109.29
_cell_angle_gamma 90.00
loop_
_atom_site_label
_atom_site_type_symbol
_atom_site_fract_x
_atom_site_fract_y
_atom_site_fract_z
Np1 Np 0.2223 0.2500 0.4472
Tl1 Tl 0.2376 0.2500 0.9547
Pd1 Pd 0.2791 0.7500 0.6996
S1 S 0.0306 0.7500 0.8293
S2 S 0.0838 0.7500 0.4325
S3 S 0.4584 0.5415 0.3054
```

Most intense lines, 15 to 90 degrees two-theta, low angle first:
- 2θ = 21.62°, I = 58.1, (1 1 0)
- 2θ = 26.41°, I = 100.0, (1 1 -2)
- 2θ = 27.44°, I = 32.9, (2 0 0)
- 2θ = 28.25°, I = 30.4, (2 0 -2)
- 2θ = 32.82°, I = 50.0, (1 1 2)
- 2θ = 33.00°, I = 23.9, (2 1 -2)
- 2θ = 33.80°, I = 34.9, (0 2 0)
- 2θ = 43.48°, I = 26.5, (3 1 -2)
- 2θ = 44.07°, I = 30.3, (2 2 0)
- 2θ = 44.65°, I = 25.2, (2 2 -2)

Record 10
Simulated powder diffractogram
Compound: NpU3Pd4S12
Radiation: copper Kα
Structure: a structure optimized by DFT (PBE)
Peak positions follow from Bragg's law for the DFT cell and can differ from measured ones.

Atomic structure:
```
data_NpU3Pd4S12
_chemical_formula_sum 'Np3 U9 Pd12 S36'
_space_group_name_H-M_alt 'R 3 2'
_space_group_IT_number 155
_space_group_name_Hall 'R 3 2"'
_cell_length_a 13.2354
_cell_length_b 13.2354
_cell_length_c 9.6034
_cell_angle_alpha 90.00
_cell_angle_beta 90.00
_cell_angle_gamma 120.00
loop_
_atom_site_label
_atom_site_type_symbol
_atom_site_fract_x
_atom_site_fract_y
_atom_site_fract_z
Np1 Np 0.0000 0.0000 0.0000
U1 U 0.0000 0.5627 0.0000
Pd1 Pd 0.0000 0.0000 0.5000
Pd2 Pd 0.0000 0.4091 0.5000
S1 S 0.0000 0.5907 0.5000
S2 S 0.0000 0.8323 0.5000
S3 S 0.0556 0.1898 0.1737
```

Most intense lines, 15 to 90 degrees two-theta, low angle first:
- 2θ = 18.02°, I = 33.3, (0 2 1)
- 2θ = 22.51°, I = 45.1, (2 1 1)
- 2θ = 24.18°, I = 100.0, (2 0 2)
- 2θ = 26.95°, I = 19.9, (2 2 0)
- 2θ = 29.60°, I = 34.2, (1 3 1)
- 2θ = 31.03°, I = 21.7, (1 1 3)
- 2θ = 39.05°, I = 24.5, (2 3 2)
- 2θ = 40.75°, I = 25.4, (0 2 4)
- 2θ = 43.76°, I = 24.5, (5 0 2)
- 2θ = 49.67°, I = 31.9, (5 2 0)

Record 11
Simulated powder diffractogram
Compound: NpU2Pd2S6
Radiation: copper Kα
Structure: a structure optimized by DFT (PBE)
Peak positions follow from Bragg's law for the DFT cell and can differ from measured ones.

Atomic structure:
```
data_NpU2Pd2S6
_chemical_formula_sum 'Np1 U2 Pd2 S6'
_space_group_name_H-M_alt 'P -3 1 m'
_space_group_IT_number 162
_space_group_name_Hall '-P 3 2'
_cell_length_a 6.5794
_cell_length_b 6.5794
_cell_length_c 6.3712
_cell_angle_alpha 90.00
_cell_angle_beta 90.00
_cell_angle_gamma 120.00
loop_
_atom_site_label
_atom_site_type_symbol
_atom_site_fract_x
_atom_site_fract_y
_atom_site_fract_z
Np1 Np 0.0000 0.0000 0.0000
U1 U 0.3333 0.6667 0.5000
Pd1 Pd 0.3333 0.6667 0.0000
S1 S 0.0000 0.3455 0.2489
```

Most intense lines, 15 to 90 degrees two-theta, low angle first:
- 2θ = 20.92°, I = 59.0, (1 0 1)
- 2θ = 27.11°, I = 84.9, (1 1 0)
- 2θ = 28.01°, I = 19.8, (0 0 2)
- 2θ = 34.49°, I = 17.6, (2 0 1)
- 2θ = 39.37°, I = 100.0, (2 -1 2)
- 2θ = 44.40°, I = 17.9, (2 1 1)
- 2θ = 47.89°, I = 34.0, (3 0 0)
- 2θ = 56.40°, I = 18.8, (3 0 2)
- 2θ = 63.67°, I = 24.5, (2 2 2)
- 2θ = 83.45°, I = 23.9, (5 -1 2)